# KGa12Pd4
Calculated powder XRD pattern, Cu Ka. Input: DFT lattice parameters and positions (PBE).
Kinematic intensities with the Lorentz-polarization factor, no thermal factor.

Cell and atoms:
a b c (Å): 7.7317 7.7317 7.7317
angles (deg): 109.47 109.47 109.47
Fractional positions:
K 0.0000 0.0000 0.0000
Ga 0.1565 0.5057 0.3492
Ga 0.1565 0.8074 0.6508
Ga 0.1926 0.3492 0.8435
Ga 0.3492 0.1565 0.5057
Ga 0.3492 0.8435 0.1926
Ga 0.4943 0.6508 0.8435
Ga 0.5057 0.3492 0.1565
Ga 0.6508 0.1565 0.8074
Ga 0.6508 0.8435 0.4943
Ga 0.8074 0.6508 0.1565
Ga 0.8435 0.1926 0.3492
Ga 0.8435 0.4943 0.6508
Pd 0.0000 0.0000 0.5000
Pd 0.0000 0.5000 0.0000
Pd 0.5000 0.0000 0.0000
Pd 0.5000 0.5000 0.5000

The 6 most intense peaks (2θ = 5–70°), most intense first:
2θ = 31.69°, rel. 100.0
2θ = 45.43°, rel. 60.1
2θ = 50.05°, rel. 48.3
2θ = 37.70°, rel. 32.1
2θ = 52.25°, rel. 31.2
2θ = 19.89°, rel. 30.5